No. 1
# SrPm2UAs4
Computed powder XRD pattern, Cu Kα, 1.54184 Å. Input: a DFT-relaxed cell (PBE, Alexandria).

The 10 most intense peaks (15° ≤ 2θ ≤ 90°), in order of falling intensity:
2θ 29.77, 3.001 Å, rel. 100, hkl 2 0 0
2θ 42.61, 2.122 Å, rel. 75, hkl 2 2 0
2θ 70.12, 1.342 Å, rel. 34, hkl 4 2 0
2θ 52.84, 1.733 Å, rel. 26, hkl 2 2 4
2θ 77.99, 1.225 Å, rel. 25, hkl 4 2 4
2θ 25.71, 3.465 Å, rel. 20, hkl 1 1 2
2θ 61.84, 1.500 Å, rel. 12, hkl 4 0 0
2θ 50.43, 1.810 Å, rel. 11, hkl 1 1 6
2θ 16.52, 5.367 Å, rel. 8, hkl 1 0 1
2θ 68.10, 1.377 Å, rel. 5, hkl 3 1 6

Atomic structure:
```
data_SrPm2UAs4
_space_group_name_H-M_alt 'I -4 m 2'
_space_group_IT_number 119
_space_group_name_Hall 'I -4 -2'
_cell_length_a 5.999
_cell_length_b 5.999
_cell_length_c 12.014
_cell_angle_alpha 90.00
_cell_angle_beta 90.00
_cell_angle_gamma 90.00
loop_
_atom_site_label
_atom_site_fract_x
_atom_site_fract_y
_atom_site_fract_z
Sr1 0.000 0.000 0.000
Pm1 0.000 0.000 0.500
Pm2 0.000 0.500 0.250
U1 0.000 0.500 0.750
As1 0.000 0.000 0.256
As2 0.000 0.500 0.513
```

No. 2
# TbPm3As4
Computed powder XRD pattern, Cu Kα, 1.54184 Å. Input: a DFT-relaxed cell (PBE, Alexandria).

The 10 most intense peaks (15° ≤ 2θ ≤ 90°), in order of falling intensity:
2θ 29.99, 2.980 Å, rel. 100, hkl 2 0 1
2θ 42.92, 2.107 Å, rel. 75, hkl 4 0 0
2θ 70.69, 1.333 Å, rel. 34, hkl 4 4 2
2θ 53.24, 1.720 Å, rel. 26, hkl 4 4 0
2θ 78.65, 1.217 Å, rel. 25, hkl 2 4 3
2θ 25.89, 3.441 Å, rel. 19, hkl 2 2 0
2θ 62.32, 1.490 Å, rel. 12, hkl 4 0 2
2θ 50.81, 1.797 Å, rel. 10, hkl 4 2 1
2θ 68.64, 1.367 Å, rel. 4, hkl 6 2 0
2θ 84.46, 1.147 Å, rel. 3, hkl 6 6 0

Atomic structure:
```
data_TbPm3As4
_space_group_name_H-M_alt 'C m m m'
_space_group_IT_number 65
_space_group_name_Hall '-C 2 2'
_cell_length_a 8.425
_cell_length_b 11.916
_cell_length_c 4.217
_cell_angle_alpha 90.00
_cell_angle_beta 90.00
_cell_angle_gamma 90.00
loop_
_atom_site_label
_atom_site_fract_x
_atom_site_fract_y
_atom_site_fract_z
Tb1 0.000 0.000 0.000
Pm1 0.000 0.500 0.000
Pm2 0.250 0.250 0.500
As1 0.000 0.248 0.000
As2 0.246 0.000 0.500
```